# 1
Diffraction record for Dy2Cd3Cu. The PXRD pattern is calculated, not measured: it uses a structure optimized by DFT (GGA-PBE) and copper Kα.
Kinematic intensities with the Lorentz-polarization factor, no thermal factor.

Largest 10 diffraction maxima, low angle first, 2θ = 15–90°:
2θ/deg	d (Å)	Rel. int.	hkl
21.20	4.191	8	0 0 2
33.90	2.644	100	1 1 1
37.16	2.420	73	0 2 0
51.18	1.785	29	1 2 2
53.80	1.704	9	2 0 0
64.92	1.436	26	1 3 1
66.99	1.397	11	0 3 3
67.20	1.393	25	2 2 0
79.18	1.210	7	0 4 0
88.98	1.100	10	1 4 2

Atomic structure:
a = 3.408 Å, b = 4.837 Å, c = 8.386 Å
α = 90.00°, β = 90.00°, γ = 90.00°
Space group Pmm2 (No. 25)
Symmetry-distinct sites (fractional):
Dy (0.000, 0.000, 0.000)
Dy (0.000, 0.500, 0.460)
Cd (0.500, 0.000, 0.632)
Cd (0.500, 0.500, 0.149)
Cd (0.500, 0.500, 0.808)
Cu (0.500, 0.000, 0.307)



# 2
Diffraction record for SrCa12. The PXRD pattern is calculated, not measured: it uses a structure optimized by DFT (GGA-PBE) and copper Kα.
Kinematic intensities with the Lorentz-polarization factor, no thermal factor.

Largest 10 diffraction maxima, low angle first, 2θ = 15–90°:
2θ/deg	d (Å)	Rel. int.	hkl
19.88	4.467	16	2 1 1
24.33	3.658	46	3 0 1
27.99	3.187	56	4 0 0
28.12	3.173	100	3 2 1
28.51	3.131	70	2 0 2
31.38	2.851	20	4 2 0
31.84	2.810	36	2 2 2
45.74	1.984	24	3 2 3
49.61	1.837	22	6 3 1
49.85	1.829	26	6 0 2

Atomic structure:
a = 12.749 Å, b = 12.749 Å, c = 7.188 Å
α = 90.00°, β = 90.00°, γ = 90.00°
Space group I4/mmm (No. 139)
Symmetry-distinct sites (fractional):
Sr (0.000, 0.000, 0.000)
Ca (0.000, 0.215, 0.500)
Ca (0.000, 0.355, 0.000)
Ca (0.250, 0.250, 0.250)



# 3
Diffraction record for Nd7Sm2Ho2. The PXRD pattern is calculated, not measured: it uses a structure optimized by DFT (GGA-PBE) and copper Kα.
Kinematic intensities with the Lorentz-polarization factor, no thermal factor.

Largest 10 diffraction maxima, low angle first, 2θ = 15–90°:
2θ/deg	d (Å)	Rel. int.	hkl
26.53	3.360	14	2 2 -1
27.79	3.210	16	1 1 2
29.02	3.077	13	3 1 0
30.46	2.935	100	2 2 1
31.07	2.879	99	2 2 -2
31.75	2.818	22	3 1 -2
33.35	2.687	33	0 0 3
35.41	2.535	18	4 0 -1
38.20	2.356	18	0 4 0
53.80	1.704	13	5 3 -1

Atomic structure:
a = 10.146 Å, b = 9.427 Å, c = 8.374 Å
α = 90.00°, β = 105.71°, γ = 90.00°
Space group C2/m (No. 12)
Symmetry-distinct sites (fractional):
Nd (0.000, 0.000, 0.000)
Nd (0.202, 0.298, 0.178)
Nd (0.222, 0.500, 0.530)
Sm (0.078, 0.500, 0.820)
Ho (0.000, 0.209, 0.500)